[1]
Computed powder X-ray diffraction pattern
Compound: Ac3La2Au2
Radiation: λ = 1.5418 Å (Cu Kα)
Structure: a crystal structure in Alexandria, relaxed with PBE
No peak broadening, texture or thermal motion is included.

Lattice parameters (Å, degrees): 7.076 7.076 9.875 113.76 113.76 33.55
Fractional positions:
Ac 0.000 0.000 0.000
Ac 0.114 0.114 0.440
Ac 0.886 0.886 0.560
La 0.337 0.337 0.182
La 0.663 0.663 0.818
Au 0.329 0.329 0.775
Au 0.671 0.671 0.225

Main lines, in order of rising 2θ (2θ from 10° to 90°):
two_theta  d/Å  I (rel.)
13.6  6.503  52
28.4  3.145  63
29.2  3.059  69
29.5  3.028  100
30.9  2.893  59
31.4  2.846  72
31.8  2.813  64
32.5  2.756  91
35.4  2.534  63
44.4  2.042  46
51.4  1.778  36
54.0  1.699  33

---

[2]
Computed powder X-ray diffraction pattern
Compound: HfB2Rh4
Radiation: λ = 1.5418 Å (Cu Kα)
Structure: a crystal structure in Alexandria, relaxed with PBE
No peak broadening, texture or thermal motion is included.

Lattice parameters (Å, degrees): 7.779 7.779 4.841 107.93 107.93 41.11
Fractional positions:
Hf 0.000 0.000 0.000
Hf 0.211 0.211 0.718
B 0.277 0.277 0.322
B 0.519 0.519 0.141
B 0.729 0.729 0.906
B 0.939 0.939 0.469
Rh 0.106 0.604 0.151
Rh 0.313 0.784 0.526
Rh 0.409 0.409 0.710
Rh 0.426 0.900 0.149
Rh 0.604 0.106 0.151
Rh 0.784 0.313 0.526
Rh 0.807 0.807 0.604
Rh 0.900 0.426 0.149

Main lines, in order of rising 2θ (2θ from 10° to 90°):
two_theta  d/Å  I (rel.)
17.5  5.077  26
27.8  3.205  63
36.6  2.457  41
37.5  2.396  23
37.7  2.388  23
38.4  2.344  100
39.3  2.293  22
39.5  2.283  62
41.3  2.185  21
42.3  2.139  28
42.8  2.112  84
50.7  1.799  26

---

[3]
Computed powder X-ray diffraction pattern
Compound: CaZn2GaIr2
Radiation: λ = 1.5418 Å (Cu Kα)
Structure: a crystal structure in Alexandria, relaxed with PBE
No peak broadening, texture or thermal motion is included.

Lattice parameters (Å, degrees): 4.645 4.645 5.579 90.00 90.00 90.00
Fractional positions:
Ca 0.000 0.000 0.000
Zn 0.500 0.500 0.246
Zn 0.500 0.500 0.754
Ga 0.000 0.000 0.500
Ir 0.000 0.500 0.500
Ir 0.500 0.000 0.500

Main lines, in order of rising 2θ (2θ from 10° to 90°):
two_theta  d/Å  I (rel.)
15.9  5.579  100
31.6  2.830  58
32.1  2.789  14
37.6  2.391  20
38.8  2.322  56
42.1  2.144  36
42.5  2.126  35
51.2  1.785  15
56.0  1.642  19
58.6  1.575  14
65.7  1.420  14
72.8  1.300  14

---

[4]
Computed powder X-ray diffraction pattern
Compound: Ac2SmGa4Pd3
Radiation: λ = 1.5418 Å (Cu Kα)
Structure: a crystal structure in Alexandria, relaxed with PBE
No peak broadening, texture or thermal motion is included.

Lattice parameters (Å, degrees): 4.403 4.403 11.854 90.00 90.00 90.00
Fractional positions:
Ac 0.000 0.500 0.226
Ac 0.500 0.000 0.774
Sm 0.000 0.000 0.500
Ga 0.000 0.000 0.000
Ga 0.000 0.500 0.667
Ga 0.500 0.000 0.333
Ga 0.500 0.500 0.000
Pd 0.000 0.500 0.882
Pd 0.500 0.000 0.118
Pd 0.500 0.500 0.500

Main lines, in order of rising 2θ (2θ from 10° to 90°):
two_theta  d/Å  I (rel.)
28.7  3.113  14
29.7  3.011  12
30.4  2.941  50
32.5  2.756  100
36.5  2.458  17
41.0  2.201  50
43.3  2.087  18
50.6  1.803  12
51.9  1.762  23
59.4  1.557  17
61.2  1.515  13
69.3  1.355  22

---

[5]
Computed powder X-ray diffraction pattern
Compound: Dy4Tm5Sc
Radiation: λ = 1.5418 Å (Cu Kα)
Structure: a crystal structure in Alexandria, relaxed with PBE
No peak broadening, texture or thermal motion is included.

Lattice parameters (Å, degrees): 7.954 7.954 7.954 97.30 97.30 138.23
Fractional positions:
Dy 0.000 0.322 0.322
Dy 0.000 0.678 0.678
Dy 0.322 0.000 0.322
Dy 0.678 0.000 0.678
Tm 0.229 0.229 0.000
Tm 0.321 0.321 0.626
Tm 0.321 0.695 0.000
Tm 0.695 0.321 0.000
Tm 0.695 0.695 0.374
Sc 0.757 0.757 0.000

Main lines, in order of rising 2θ (2θ from 10° to 90°):
two_theta  d/Å  I (rel.)
30.0  2.980  100
31.6  2.836  16
34.6  2.592  8
36.0  2.495  11
36.3  2.477  37
46.1  1.971  8
48.8  1.866  16
52.2  1.752  13
55.2  1.664  15
60.9  1.521  8
61.4  1.510  19
77.6  1.230  8

---

[6]
Computed powder X-ray diffraction pattern
Compound: Sm8Tm5Sc
Radiation: λ = 1.5418 Å (Cu Kα)
Structure: a crystal structure in Alexandria, relaxed with PBE
No peak broadening, texture or thermal motion is included.

Lattice parameters (Å, degrees): 8.693 8.693 8.466 116.95 116.95 56.73
Fractional positions:
Sm 0.032 0.596 0.432
Sm 0.125 0.125 0.181
Sm 0.229 0.432 0.787
Sm 0.404 0.968 0.568
Sm 0.524 0.106 0.078
Sm 0.568 0.771 0.213
Sm 0.875 0.875 0.819
Sm 0.894 0.476 0.922
Tm 0.255 0.646 0.228
Tm 0.354 0.745 0.772
Tm 0.516 0.274 0.533
Tm 0.726 0.484 0.467
Tm 0.952 0.048 0.500
Sc 0.661 0.339 0.000

Main lines, in order of rising 2θ (2θ from 10° to 90°):
two_theta  d/Å  I (rel.)
24.9  3.582  27
25.1  3.552  17
30.3  2.954  45
30.7  2.908  100
31.3  2.857  38
31.6  2.829  70
32.0  2.801  69
32.8  2.729  88
33.3  2.694  36
33.6  2.665  20
34.3  2.618  23
37.2  2.419  25